Entry 1:
# Li3TiV3O8
Computed X-ray diffraction stick pattern, Cu Kα, 1.54184 Å. Input: a crystal structure in the Materials Project, relaxed with GGA+U.
Intensities are scaled so that the largest is 100.

Structural model:
```
Li3TiV3O8
1.0
5.915 0.000 0.000
-2.958 5.123 0.000
0.000 0.000 9.669
Li Ti V O
6 2 6 16
direct
0.173 0.345 0.000
0.173 0.827 0.000
0.345 0.173 0.500
0.655 0.827 0.000
0.827 0.173 0.500
0.827 0.655 0.500
0.333 0.667 0.447
0.667 0.333 0.947
0.169 0.339 0.728
0.169 0.831 0.728
0.339 0.169 0.228
0.661 0.831 0.728
0.831 0.169 0.228
0.831 0.661 0.228
0.000 0.000 0.120
0.000 0.000 0.620
0.036 0.518 0.596
0.167 0.334 0.353
0.167 0.833 0.353
0.333 0.667 0.842
0.334 0.167 0.853
0.482 0.518 0.596
0.482 0.964 0.596
0.518 0.036 0.096
0.518 0.482 0.096
0.666 0.833 0.353
0.667 0.333 0.342
0.833 0.167 0.853
0.833 0.666 0.853
0.964 0.482 0.096
```

Principal peaks in the range 15° ≤ 2θ ≤ 90°, sorted by position:
Position (°2θ), d [Å], I/Imax, (hkl)
18.35, 4.834, 47, 0 0 2
19.61, 4.527, 100, 1 0 1
36.28, 2.476, 50, 2 0 1
39.83, 2.263, 51, 2 0 2
45.22, 2.005, 82, 2 0 3
62.84, 1.479, 47, 2 2 0


Entry 2:
# V4O5F7
Computed X-ray diffraction stick pattern, Cu Kα, 1.54184 Å. Input: a crystal structure in the Materials Project, relaxed with GGA+U.
Intensities are scaled so that the largest is 100.

Structural model:
```
V4O5F7
1.0
5.269 0.000 0.000
2.618 4.671 0.000
2.510 0.815 17.128
V O F
8 10 14
direct
0.000 0.000 0.000
0.073 0.135 0.617
0.230 0.255 0.249
0.352 0.327 0.872
0.495 0.493 0.500
0.575 0.640 0.117
0.728 0.742 0.749
0.848 0.874 0.374
0.134 0.531 0.304
0.174 0.145 0.911
0.369 0.901 0.178
0.383 0.751 0.038
0.386 0.771 0.556
0.616 0.149 0.430
0.636 0.024 0.802
0.865 0.399 0.679
0.877 0.253 0.539
0.891 0.271 0.058
0.100 0.675 0.930
0.102 0.037 0.329
0.122 0.655 0.453
0.126 0.509 0.782
0.340 0.281 0.579
0.363 0.910 0.700
0.413 0.388 0.157
0.583 0.538 0.827
0.623 0.180 0.952
0.631 0.013 0.281
0.660 0.632 0.407
0.844 0.781 0.078
0.868 0.415 0.201
0.911 0.884 0.657
```

Principal peaks in the range 15° ≤ 2θ ≤ 90°, sorted by position:
Position (°2θ), d [Å], I/Imax, (hkl)
23.59, 3.772, 100, 1 1 -2
24.05, 3.700, 54, 0 1 3
39.76, 2.267, 12, 2 0 2
48.16, 1.889, 12, 2 2 -4
48.35, 1.882, 11, 2 0 6
53.89, 1.701, 11, 1 -1 8


Entry 3:
# NiAg4P6O24
Computed X-ray diffraction stick pattern, Cu Kα, 1.54184 Å. Input: a crystal structure in the Materials Project, relaxed with GGA+U.
Intensities are scaled so that the largest is 100.

Structural model:
```
NiAg4P6O24
1.0
6.617 0.000 0.000
-0.282 8.140 0.000
-2.016 -1.047 9.167
Ni Ag P O
1 4 6 24
direct
0.000 0.000 0.000
0.193 0.434 0.162
0.384 0.717 0.575
0.616 0.283 0.425
0.807 0.566 0.838
0.144 0.279 0.494
0.274 0.441 0.792
0.460 0.143 0.702
0.540 0.857 0.298
0.726 0.559 0.208
0.856 0.721 0.506
0.010 0.992 0.194
0.069 0.769 0.596
0.115 0.398 0.635
0.143 0.482 0.902
0.179 0.168 0.110
0.195 0.869 0.954
0.256 0.126 0.564
0.294 0.365 0.417
0.366 0.760 0.343
0.376 0.268 0.822
0.438 0.568 0.775
0.487 0.978 0.752
0.513 0.022 0.248
0.562 0.432 0.225
0.624 0.732 0.178
0.634 0.240 0.657
0.706 0.635 0.583
0.744 0.874 0.436
0.805 0.131 0.046
0.821 0.832 0.890
0.857 0.518 0.098
0.885 0.602 0.365
0.931 0.231 0.404
0.990 0.008 0.806
```

Principal peaks in the range 15° ≤ 2θ ≤ 90°, sorted by position:
Position (°2θ), d [Å], I/Imax, (hkl)
18.45, 4.808, 38, 1 0 1
21.18, 4.194, 53, 1 0 -2
25.06, 3.554, 100, 0 2 1
26.69, 3.340, 39, 1 2 0
29.20, 3.059, 79, 2 -1 0
30.07, 2.972, 66, 0 1 -3


Entry 4:
# MgV3CoO8
Computed X-ray diffraction stick pattern, Cu Kα, 1.54184 Å. Input: a crystal structure in the Materials Project, relaxed with GGA+U.
Intensities are scaled so that the largest is 100.

Structural model:
```
MgV3CoO8
1.0
5.407 0.000 0.000
-0.069 5.699 0.000
-0.002 -0.359 6.697
Mg V Co O
1 3 1 8
direct
0.000 0.000 0.000
0.005 0.010 0.490
0.506 0.827 0.734
0.510 0.329 0.013
0.014 0.506 0.276
0.327 0.924 0.522
0.364 0.445 0.217
0.366 0.045 0.951
0.462 0.515 0.821
0.831 0.307 0.063
0.852 0.911 0.732
0.937 0.837 0.252
0.970 0.311 0.497
```

Principal peaks in the range 15° ≤ 2θ ≤ 90°, sorted by position:
Position (°2θ), d [Å], I/Imax, (hkl)
19.92, 4.456, 70, 0 1 -1
21.08, 4.215, 100, 1 0 -1
21.13, 4.205, 64, 1 0 1
31.44, 2.846, 29, 0 2 0
31.72, 2.821, 27, 0 1 2
33.14, 2.703, 52, 2 0 0


Entry 5:
# Li4Mn2FeB4O12
Computed X-ray diffraction stick pattern, Cu Kα, 1.54184 Å. Input: a crystal structure in the Materials Project, relaxed with GGA+U.
Intensities are scaled so that the largest is 100.

Structural model:
```
Li4Mn2FeB4O12
1.0
5.266 0.000 0.000
0.000 9.189 0.000
-4.755 0.000 9.616
Li Mn Fe B O
8 4 2 8 24
direct
0.000 0.088 0.000
0.000 0.912 0.500
0.046 0.241 0.537
0.046 0.280 0.213
0.046 0.720 0.713
0.046 0.759 0.037
0.477 0.243 0.986
0.477 0.757 0.486
0.524 0.443 0.492
0.524 0.557 0.992
0.569 0.073 0.248
0.569 0.927 0.748
0.620 0.265 0.759
0.620 0.735 0.259
0.105 0.063 0.754
0.105 0.937 0.254
0.517 0.091 0.508
0.517 0.909 0.008
0.577 0.402 0.240
0.577 0.598 0.740
0.997 0.427 0.987
0.997 0.573 0.487
0.167 0.074 0.220
0.167 0.926 0.720
0.239 0.412 0.971
0.239 0.588 0.471
0.261 0.183 0.759
0.261 0.817 0.259
0.383 0.406 0.295
0.383 0.594 0.795
0.420 0.222 0.530
0.420 0.778 0.030
0.434 0.040 0.048
0.434 0.960 0.548
0.650 0.468 0.693
0.650 0.532 0.193
0.691 0.275 0.222
0.691 0.725 0.722
0.712 0.083 0.451
0.712 0.917 0.951
0.839 0.302 0.981
0.839 0.698 0.481
0.872 0.078 0.783
0.872 0.922 0.283
0.909 0.436 0.507
0.909 0.564 0.007
```

Principal peaks in the range 15° ≤ 2θ ≤ 90°, sorted by position:
Position (°2θ), d [Å], I/Imax, (hkl)
18.80, 4.721, 100, 1 0 0
20.85, 4.260, 57, 0 1 2
30.63, 2.918, 30, 0 3 1
33.87, 2.647, 54, 1 3 -1
34.10, 2.629, 23, 2 0 -2
37.41, 2.404, 61, 0 0 4